Calculated powder diffractogram
Compound: Nd5Ge2N
Radiation: a wavelength of 1.5418 Å
Structure: a DFT-relaxed cell (GGA-PBE, Alexandria)
Lines closer than 0.1° are merged.

Atomic structure:
Cell lengths 6.7908, 6.7908, 13.2798 Å; angles 90.00, 90.00, 129.39 degrees
Fractional positions:
1 Nd 0.0570 0.9430 0.6273
2 Nd 0.0570 0.9430 0.8727
3 Nd 0.3009 0.6991 0.2500
4 Nd 0.3395 0.6605 0.6072
5 Nd 0.3395 0.6605 0.8928
6 Nd 0.6605 0.3395 0.1072
7 Nd 0.6605 0.3395 0.3928
8 Nd 0.6991 0.3009 0.7500
9 Nd 0.9430 0.0570 0.1273
10 Nd 0.9430 0.0570 0.3727
11 Ge 0.1769 0.8231 0.0666
12 Ge 0.1769 0.8231 0.4334
13 Ge 0.8231 0.1769 0.5666
14 Ge 0.8231 0.1769 0.9334
15 N 0.2102 0.7898 0.7500
16 N 0.7898 0.2102 0.2500

The 6 most intense peaks (10° ≤ 2θ ≤ 90°), in order of rising 2θ:
| d (Å) | 2θ (°) | Rel. int. |
| --- | --- | --- |
| 3.384 | 26.34 | 60 |
| 3.345 | 26.65 | 54 |
| 3.244 | 27.50 | 56 |
| 2.903 | 30.81 | 100 |
| 2.522 | 35.59 | 81 |
| 1.904 | 47.77 | 70 |

Calculated powder diffractogram
Compound: Nd4GeN
Radiation: a wavelength of 1.5418 Å
Structure: a DFT-relaxed cell (GGA-PBE, Alexandria)
Lines closer than 0.1° are merged.

Atomic structure:
Cell lengths 6.0087, 9.8713, 6.0349 Å; angles 90.00, 99.67, 90.00 degrees
Fractional positions:
1 Nd 0.1468 0.2500 0.2434
2 Nd 0.2556 0.7500 0.3551
3 Nd 0.2770 0.0451 0.7754
4 Nd 0.2770 0.4549 0.7754
5 Nd 0.7230 0.5451 0.2246
6 Nd 0.7230 0.9549 0.2246
7 Nd 0.7444 0.2500 0.6449
8 Nd 0.8532 0.7500 0.7566
9 Ge 0.3911 0.7500 0.8931
10 Ge 0.6089 0.2500 0.1069
11 N 0.1266 0.2500 0.6235
12 N 0.8734 0.7500 0.3765

The 6 most intense peaks (10° ≤ 2θ ≤ 90°), in order of rising 2θ:
| d (Å) | 2θ (°) | Rel. int. |
| --- | --- | --- |
| 3.366 | 26.48 | 89 |
| 3.052 | 29.26 | 100 |
| 2.975 | 30.04 | 40 |
| 2.962 | 30.18 | 41 |
| 2.878 | 31.08 | 61 |
| 2.469 | 36.39 | 58 |

Calculated powder diffractogram
Compound: PrNi2GeN
Radiation: a wavelength of 1.5418 Å
Structure: a DFT-relaxed cell (GGA-PBE, Alexandria)
Lines closer than 0.1° are merged.

Atomic structure:
Cell lengths 5.9646, 5.9646, 7.0334 Å; angles 90.00, 90.00, 144.43 degrees
Fractional positions:
1 Pr 0.0364 0.9636 0.7500
2 Pr 0.9636 0.0364 0.2500
3 Ni 0.3348 0.6652 0.5512
4 Ni 0.3348 0.6652 0.9488
5 Ni 0.6652 0.3348 0.0512
6 Ni 0.6652 0.3348 0.4488
7 Ge 0.2329 0.7671 0.2500
8 Ge 0.7671 0.2329 0.7500
9 N 0.5000 0.5000 0.0000
10 N 0.5000 0.5000 0.5000

The 6 most intense peaks (10° ≤ 2θ ≤ 90°), in order of rising 2θ:
| d (Å) | 2θ (°) | Rel. int. |
| --- | --- | --- |
| 2.633 | 34.05 | 42 |
| 2.626 | 34.15 | 54 |
| 2.470 | 36.38 | 100 |
| 2.460 | 36.53 | 58 |
| 2.209 | 40.84 | 31 |
| 1.822 | 50.07 | 28 |

Calculated powder diffractogram
Compound: PuNi2GeN
Radiation: a wavelength of 1.5418 Å
Structure: a DFT-relaxed cell (GGA-PBE, Alexandria)
Lines closer than 0.1° are merged.

Atomic structure:
Cell lengths 6.0056, 6.0056, 6.9278 Å; angles 90.00, 90.00, 146.94 degrees
Fractional positions:
1 Pu 0.0276 0.9724 0.7500
2 Pu 0.9724 0.0276 0.2500
3 Ni 0.3353 0.6647 0.5505
4 Ni 0.3353 0.6647 0.9495
5 Ni 0.6647 0.3353 0.0505
6 Ni 0.6647 0.3353 0.4495
7 Ge 0.2398 0.7602 0.2500
8 Ge 0.7602 0.2398 0.7500
9 N 0.5000 0.5000 0.0000
10 N 0.5000 0.5000 0.5000

The 6 most intense peaks (10° ≤ 2θ ≤ 90°), in order of rising 2θ:
| d (Å) | 2θ (°) | Rel. int. |
| --- | --- | --- |
| 2.968 | 30.11 | 32 |
| 2.658 | 33.72 | 31 |
| 2.552 | 35.16 | 62 |
| 2.395 | 37.55 | 41 |
| 2.380 | 37.79 | 100 |
| 2.214 | 40.76 | 39 |